No. 1
# TbDyEr2Sc4
Theoretical X-ray powder pattern, λ = 1.5418 Å (Cu Kα). Input: a DFT-relaxed cell (GGA-PBE, Alexandria).

Structure:
```
data_TbDyEr2Sc4
_symmetry_space_group_name_H-M 'P 1'
_symmetry_Int_Tables_number 1
_symmetry_space_group_name_Hall 'P 1'
_cell_length_a 4.8649
_cell_length_b 4.8649
_cell_length_c 9.3418
_cell_angle_alpha 90.00
_cell_angle_beta 90.00
_cell_angle_gamma 90.00
loop_
_atom_site_label
_atom_site_type_symbol
_atom_site_fract_x
_atom_site_fract_y
_atom_site_fract_z
_atom_site_occupancy
Tb1 Tb 0.0000 0.0000 0.0000 1
Dy1 Dy 0.5000 0.5000 0.5000 1
Er1 Er 0.0000 0.0000 0.5000 1
Er2 Er 0.5000 0.5000 0.0000 1
Sc1 Sc 0.0000 0.5000 0.2501 1
Sc2 Sc 0.0000 0.5000 0.7499 1
Sc3 Sc 0.5000 0.0000 0.2501 1
Sc4 Sc 0.5000 0.0000 0.7499 1
```

Largest 10 diffraction maxima, low angle first, 2θ from 10° to 90°:
2θ 19.00, I 28.4
2θ 25.90, I 27.6
2θ 32.32, I 100.0
2θ 36.95, I 34.7
2θ 38.55, I 15.4
2θ 41.87, I 16.1
2θ 53.26, I 11.9
2θ 54.47, I 22.3
2θ 63.69, I 27.5
2θ 65.84, I 12.4

***

No. 2
# Tb2DyErSc
Theoretical X-ray powder pattern, λ = 1.5418 Å (Cu Kα). Input: a DFT-relaxed cell (GGA-PBE, Alexandria).

Structure:
```
data_Tb2DyErSc
_symmetry_space_group_name_H-M 'P 1'
_symmetry_Int_Tables_number 1
_symmetry_space_group_name_Hall 'P 1'
_cell_length_a 6.9188
_cell_length_b 6.9188
_cell_length_c 7.0644
_cell_angle_alpha 90.00
_cell_angle_beta 90.00
_cell_angle_gamma 107.82
loop_
_atom_site_label
_atom_site_type_symbol
_atom_site_fract_x
_atom_site_fract_y
_atom_site_fract_z
_atom_site_occupancy
Tb1 Tb 0.1977 0.1977 0.0000 1
Tb2 Tb 0.1977 0.1977 0.5000 1
Tb3 Tb 0.8023 0.8023 0.0000 1
Tb4 Tb 0.8023 0.8023 0.5000 1
Dy1 Dy 0.2313 0.7687 0.7500 1
Dy2 Dy 0.7687 0.2313 0.2500 1
Er1 Er 0.2314 0.7686 0.2500 1
Er2 Er 0.7686 0.2314 0.7500 1
Sc1 Sc 0.4992 0.5008 0.7500 1
Sc2 Sc 0.5008 0.4992 0.2500 1
```

Largest 10 diffraction maxima, low angle first, 2θ from 10° to 90°:
2θ 27.07, I 100.0
2θ 29.92, I 98.4
2θ 32.02, I 50.8
2θ 33.57, I 81.4
2θ 36.75, I 22.1
2θ 41.11, I 21.3
2θ 47.07, I 56.2
2θ 55.79, I 22.1
2θ 59.38, I 22.8
2θ 68.14, I 29.4

***

No. 3
# TbDy2Er2Sc2
Theoretical X-ray powder pattern, λ = 1.5418 Å (Cu Kα). Input: a DFT-relaxed cell (GGA-PBE, Alexandria).

Structure:
```
data_TbDy2Er2Sc2
_symmetry_space_group_name_H-M 'P 1'
_symmetry_Int_Tables_number 1
_symmetry_space_group_name_Hall 'P 1'
_cell_length_a 11.2269
_cell_length_b 3.4080
_cell_length_c 11.4739
_cell_angle_alpha 90.00
_cell_angle_beta 108.76
_cell_angle_gamma 90.00
loop_
_atom_site_label
_atom_site_type_symbol
_atom_site_fract_x
_atom_site_fract_y
_atom_site_fract_z
_atom_site_occupancy
Tb1 Tb 0.0000 0.0000 0.0000 1
Tb2 Tb 0.5000 0.5000 0.0000 1
Dy1 Dy 0.1710 0.5000 0.5871 1
Dy2 Dy 0.3290 0.0000 0.4129 1
Dy3 Dy 0.6710 0.0000 0.5871 1
Dy4 Dy 0.8290 0.5000 0.4129 1
Er1 Er 0.0482 0.5000 0.2691 1
Er2 Er 0.4518 0.0000 0.7309 1
Er3 Er 0.5482 0.0000 0.2691 1
Er4 Er 0.9518 0.5000 0.7309 1
Sc1 Sc 0.2268 0.0000 0.8652 1
Sc2 Sc 0.2732 0.5000 0.1348 1
Sc3 Sc 0.7268 0.5000 0.8652 1
Sc4 Sc 0.7732 0.0000 0.1348 1
```

Largest 10 diffraction maxima, low angle first, 2θ from 10° to 90°:
2θ 16.03, I 34.7
2θ 27.48, I 29.5
2θ 27.91, I 31.9
2θ 29.49, I 34.9
2θ 31.81, I 92.0
2θ 31.99, I 72.5
2θ 33.53, I 100.0
2θ 34.15, I 56.3
2θ 36.63, I 79.6
2θ 53.76, I 60.8

***

No. 4
# TbDy2ErSc5
Theoretical X-ray powder pattern, λ = 1.5418 Å (Cu Kα). Input: a DFT-relaxed cell (GGA-PBE, Alexandria).

Structure:
```
data_TbDy2ErSc5
_symmetry_space_group_name_H-M 'P 1'
_symmetry_Int_Tables_number 1
_symmetry_space_group_name_Hall 'P 1'
_cell_length_a 9.5978
_cell_length_b 9.5978
_cell_length_c 10.3662
_cell_angle_alpha 90.00
_cell_angle_beta 90.00
_cell_angle_gamma 147.81
loop_
_atom_site_label
_atom_site_type_symbol
_atom_site_fract_x
_atom_site_fract_y
_atom_site_fract_z
_atom_site_occupancy
Tb1 Tb 0.2092 0.7908 0.5000 1
Tb2 Tb 0.7908 0.2092 0.0000 1
Dy1 Dy 0.1061 0.8939 0.2271 1
Dy2 Dy 0.1136 0.8864 0.8164 1
Dy3 Dy 0.8864 0.1136 0.3164 1
Dy4 Dy 0.8939 0.1061 0.7271 1
Er1 Er 0.4175 0.5825 0.9544 1
Er2 Er 0.5825 0.4175 0.4544 1
Sc1 Sc 0.0213 0.9788 0.5271 1
Sc2 Sc 0.2880 0.7120 0.7875 1
Sc3 Sc 0.2981 0.7019 0.2010 1
Sc4 Sc 0.4003 0.5997 0.5165 1
Sc5 Sc 0.4780 0.5220 0.2283 1
Sc6 Sc 0.5220 0.4780 0.7283 1
Sc7 Sc 0.5997 0.4003 0.0165 1
Sc8 Sc 0.7019 0.2981 0.7010 1
Sc9 Sc 0.7120 0.2880 0.2875 1
Sc10 Sc 0.9788 0.0213 0.0271 1
```

Largest 10 diffraction maxima, low angle first, 2θ from 10° to 90°:
2θ 12.85, I 12.1
2θ 23.72, I 33.4
2θ 24.45, I 18.9
2θ 27.57, I 15.7
2θ 30.33, I 13.1
2θ 31.24, I 29.4
2θ 33.68, I 35.1
2θ 34.26, I 100.0
2θ 34.61, I 11.0
2θ 60.61, I 21.6

***

Q: Number 1 is which compound?
A: TbDyEr2Sc4